Diffraction record for Cr3SbP4O16. The X-ray powder pattern is theoretical, not measured: it uses DFT lattice parameters and positions (GGA+U) and Cu Kα (weighted mean of Kα1 and Kα2).

Crystal structure
Cell: 4.8989 5.8835 10.2196 Å, 90.00 91.03 90.00°
Positions (direct):
Cr 0.0000 0.0000 0.0000
Cr 0.1042 0.5000 0.5577
Cr 0.5981 0.0000 0.5175
Sb 0.5110 0.5000 0.0569
P 0.1591 0.0000 0.6911
P 0.4248 0.0000 0.1890
P 0.6584 0.5000 0.3913
P 0.9601 0.5000 0.8586
O 0.2293 0.0000 0.8376
O 0.2532 0.1999 0.1200
O 0.2532 0.8001 0.1200
O 0.2696 0.5000 0.8798
O 0.3071 0.2028 0.6159
O 0.3071 0.7972 0.6159
O 0.3498 0.5000 0.4079
O 0.4052 0.0000 0.3370
O 0.7187 0.0000 0.1416
O 0.7392 0.5000 0.2495
O 0.8051 0.2940 0.4661
O 0.8051 0.7060 0.4661
O 0.8241 0.2909 0.9302
O 0.8241 0.7091 0.9302
O 0.8498 0.0000 0.6692
O 0.8820 0.5000 0.7141

Main lines, sorted by position (10° ≤ 2θ ≤ 80°):
2θ 17.36, I = 100; 2θ 19.96, I = 49; 2θ 20.25, I = 33; 2θ 25.10, I = 71; 2θ 25.35, I = 85; 2θ 30.38, I = 87; 2θ 35.29, I = 60; 2θ 35.80, I = 60

***

Diffraction record for CrSb3P6O24. The X-ray powder pattern is theoretical, not measured: it uses DFT lattice parameters and positions (GGA+U) and Cu Kα (weighted mean of Kα1 and Kα2).

Crystal structure
Cell: 8.8893 8.8893 8.8893 Å, 58.02 58.02 58.02°
Positions (direct):
Cr 0.0000 0.0000 0.0000
Sb 0.2861 0.2861 0.2861
Sb 0.4993 0.4993 0.4993
Sb 0.7864 0.7864 0.7864
P 0.1041 0.6853 0.3886
P 0.1799 0.6098 0.8939
P 0.3886 0.1041 0.6853
P 0.6098 0.8939 0.1799
P 0.6853 0.3886 0.1041
P 0.8939 0.1799 0.6098
O 0.0104 0.6267 0.8675
O 0.0665 0.2026 0.4226
O 0.0833 0.8598 0.2193
O 0.1290 0.5069 0.3713
O 0.1541 0.7764 0.9191
O 0.2026 0.4226 0.0665
O 0.2193 0.0833 0.8598
O 0.2760 0.6551 0.4201
O 0.3618 0.5821 0.7186
O 0.3713 0.1290 0.5069
O 0.4201 0.2760 0.6551
O 0.4226 0.0665 0.2026
O 0.5069 0.3713 0.1290
O 0.5696 0.9252 0.6992
O 0.5821 0.7186 0.3618
O 0.6267 0.8675 0.0104
O 0.6551 0.4201 0.2760
O 0.6992 0.5696 0.9252
O 0.7186 0.3618 0.5821
O 0.7764 0.9191 0.1541
O 0.8598 0.2193 0.0833
O 0.8675 0.0104 0.6267
O 0.9191 0.1541 0.7764
O 0.9252 0.6992 0.5696

Main lines, sorted by position (10° ≤ 2θ ≤ 80°):
2θ 14.32, I = 45; 2θ 19.99, I = 100; 2θ 20.60, I = 71; 2θ 23.92, I = 61; 2θ 28.86, I = 65; 2θ 31.96, I = 56; 2θ 35.73, I = 27; 2θ 36.09, I = 27

***

Diffraction record for Ti3Cr2SbP6O24. The X-ray powder pattern is theoretical, not measured: it uses DFT lattice parameters and positions (GGA+U) and Cu Kα (weighted mean of Kα1 and Kα2).

Crystal structure
Cell: 8.7147 8.7147 8.7147 Å, 60.17 60.17 60.17°
Positions (direct):
Ti 0.0000 0.0000 0.0000
Ti 0.2078 0.2078 0.2078
Ti 0.5003 0.5003 0.5003
Cr 0.3530 0.3530 0.3530
Cr 0.8551 0.8551 0.8551
Sb 0.7068 0.7068 0.7068
P 0.1161 0.8114 0.3908
P 0.2967 0.6051 0.9053
P 0.3908 0.1161 0.8114
P 0.6051 0.9053 0.2967
P 0.8114 0.3908 0.1161
P 0.9053 0.2967 0.6051
O 0.0458 0.8528 0.2383
O 0.0948 0.2687 0.4424
O 0.1074 0.7692 0.9159
O 0.1923 0.9653 0.3307
O 0.2383 0.0458 0.8528
O 0.2687 0.4424 0.0948
O 0.2753 0.6188 0.4080
O 0.3307 0.1923 0.9653
O 0.3543 0.5544 0.7332
O 0.4080 0.2753 0.6188
O 0.4424 0.0948 0.2687
O 0.4444 0.6591 0.8929
O 0.5544 0.7332 0.3543
O 0.5830 0.9613 0.8092
O 0.6188 0.4080 0.2753
O 0.6591 0.8929 0.4444
O 0.7332 0.3543 0.5544
O 0.7692 0.9159 0.1074
O 0.8092 0.5830 0.9613
O 0.8528 0.2383 0.0458
O 0.8929 0.4444 0.6591
O 0.9159 0.1074 0.7692
O 0.9613 0.8092 0.5830
O 0.9653 0.3307 0.1923

Main lines, sorted by position (10° ≤ 2θ ≤ 80°):
2θ 20.34, I = 98; 2θ 23.91, I = 100; 2θ 32.48, I = 79; 2θ 35.60, I = 44; 2θ 46.58, I = 25; 2θ 48.95, I = 31; 2θ 55.70, I = 36; 2θ 61.98, I = 21

***

Diffraction record for V3CrSb2P6O24. The X-ray powder pattern is theoretical, not measured: it uses DFT lattice parameters and positions (GGA+U) and Cu Kα (weighted mean of Kα1 and Kα2).

Crystal structure
Cell: 8.8685 8.8685 8.8685 Å, 58.83 58.83 58.83°
Positions (direct):
V 0.0000 0.0000 0.0000
V 0.2066 0.2066 0.2066
V 0.7067 0.7067 0.7067
Cr 0.4988 0.4988 0.4988
Sb 0.3526 0.3526 0.3526
Sb 0.8547 0.8547 0.8547
P 0.1043 0.8126 0.3935
P 0.3152 0.6026 0.8901
P 0.3935 0.1043 0.8126
P 0.6026 0.8901 0.3152
P 0.8126 0.3935 0.1043
P 0.8901 0.3152 0.6026
O 0.0533 0.8425 0.2374
O 0.0841 0.2924 0.4374
O 0.1207 0.7693 0.9131
O 0.1548 0.9686 0.3622
O 0.2374 0.0533 0.8425
O 0.2715 0.6193 0.4140
O 0.2924 0.4374 0.0841
O 0.3450 0.5521 0.7346
O 0.3622 0.1548 0.9686
O 0.4140 0.2715 0.6193
O 0.4374 0.0841 0.2924
O 0.4694 0.6545 0.8603
O 0.5521 0.7346 0.3450
O 0.5859 0.9383 0.7898
O 0.6193 0.4140 0.2715
O 0.6545 0.8603 0.4694
O 0.7346 0.3450 0.5521
O 0.7693 0.9131 0.1207
O 0.7898 0.5859 0.9383
O 0.8425 0.2374 0.0533
O 0.8603 0.4694 0.6545
O 0.9131 0.1207 0.7693
O 0.9383 0.7898 0.5859
O 0.9686 0.3622 0.1548

Main lines, sorted by position (10° ≤ 2θ ≤ 80°):
2θ 14.25, I = 26; 2θ 20.39, I = 100; 2θ 23.78, I = 69; 2θ 24.97, I = 33; 2θ 31.98, I = 93; 2θ 35.70, I = 38; 2θ 45.94, I = 32; 2θ 48.68, I = 33

***

Diffraction record for CrSn3P6O24. The X-ray powder pattern is theoretical, not measured: it uses DFT lattice parameters and positions (GGA+U) and Cu Kα (weighted mean of Kα1 and Kα2).

Crystal structure
Cell: 8.9587 8.9587 8.9587 Å, 58.13 58.13 58.13°
Positions (direct):
Cr 0.0000 0.0000 0.0000
Sn 0.2865 0.2865 0.2865
Sn 0.5015 0.5015 0.5015
Sn 0.7865 0.7865 0.7865
P 0.1041 0.6861 0.3876
P 0.1789 0.6114 0.8932
P 0.3876 0.1041 0.6861
P 0.6114 0.8932 0.1789
P 0.6861 0.3876 0.1041
P 0.8932 0.1789 0.6114
O 0.0142 0.6334 0.8643
O 0.0634 0.2032 0.4342
O 0.0722 0.8647 0.2078
O 0.1303 0.5188 0.3602
O 0.1369 0.7866 0.9302
O 0.2032 0.4342 0.0634
O 0.2078 0.0722 0.8647
O 0.2744 0.6677 0.4065
O 0.3578 0.5980 0.7207
O 0.3602 0.1303 0.5188
O 0.4065 0.2744 0.6677
O 0.4342 0.0634 0.2032
O 0.5188 0.3602 0.1303
O 0.5525 0.9228 0.7181
O 0.5980 0.7207 0.3578
O 0.6334 0.8643 0.0142
O 0.6677 0.4065 0.2744
O 0.7181 0.5525 0.9228
O 0.7207 0.3578 0.5980
O 0.7866 0.9302 0.1369
O 0.8643 0.0142 0.6334
O 0.8647 0.2078 0.0722
O 0.9228 0.7181 0.5525
O 0.9302 0.1369 0.7866

Main lines, sorted by position (10° ≤ 2θ ≤ 80°):
2θ 14.19, I = 44; 2θ 19.84, I = 100; 2θ 20.41, I = 69; 2θ 23.70, I = 62; 2θ 28.61, I = 63; 2θ 31.69, I = 55; 2θ 35.40, I = 30; 2θ 35.74, I = 28

***

Diffraction record for SrCrSnP3O12. The X-ray powder pattern is theoretical, not measured: it uses DFT lattice parameters and positions (GGA+U) and Cu Kα (weighted mean of Kα1 and Kα2).

Crystal structure
Cell: 9.1550 9.1550 9.1550 Å, 55.95 55.95 55.95°
Positions (direct):
Sr 0.0000 0.0000 0.0000
Sr 0.5000 0.5000 0.5000
Cr 0.1501 0.1501 0.1501
Cr 0.8499 0.8499 0.8499
Sn 0.3508 0.3508 0.3508
Sn 0.6492 0.6492 0.6492
P 0.0395 0.7551 0.4604
P 0.2449 0.5396 0.9605
P 0.4604 0.0395 0.7551
P 0.5396 0.9605 0.2449
P 0.7551 0.4604 0.0395
P 0.9605 0.2449 0.5396
O 0.0170 0.7496 0.6413
O 0.0449 0.9419 0.2910
O 0.0581 0.7090 0.9551
O 0.1166 0.2808 0.5245
O 0.2327 0.5930 0.4093
O 0.2504 0.3587 0.9830
O 0.2808 0.5245 0.1166
O 0.2910 0.0449 0.9419
O 0.3587 0.9830 0.2504
O 0.4070 0.5907 0.7673
O 0.4093 0.2327 0.5930
O 0.4755 0.8834 0.7192
O 0.5245 0.1166 0.2808
O 0.5907 0.7673 0.4070
O 0.5930 0.4093 0.2327
O 0.6413 0.0170 0.7496
O 0.7090 0.9551 0.0581
O 0.7192 0.4755 0.8834
O 0.7496 0.6413 0.0170
O 0.7673 0.4070 0.5907
O 0.8834 0.7192 0.4755
O 0.9419 0.2910 0.0449
O 0.9551 0.0581 0.7090
O 0.9830 0.2504 0.3587

Main lines, sorted by position (10° ≤ 2θ ≤ 80°):
2θ 20.68, I = 100; 2θ 23.73, I = 61; 2θ 31.21, I = 100; 2θ 36.23, I = 37; 2θ 43.42, I = 20; 2θ 48.55, I = 35; 2θ 56.71, I = 24; 2θ 62.06, I = 24

***

Diffraction record for Ti3CrSn2P6O24. The X-ray powder pattern is theoretical, not measured: it uses DFT lattice parameters and positions (GGA+U) and Cu Kα (weighted mean of Kα1 and Kα2).

Crystal structure
Cell: 9.0124 9.0124 9.0124 Å, 57.24 57.24 57.24°
Positions (direct):
Ti 0.0000 0.0000 0.0000
Ti 0.2041 0.2041 0.2041
Ti 0.5018 0.5018 0.5018
Cr 0.7061 0.7061 0.7061
Sn 0.3515 0.3515 0.3515
Sn 0.8501 0.8501 0.8501
P 0.1023 0.8143 0.3910
P 0.3181 0.6033 0.8907
P 0.3910 0.1023 0.8143
P 0.6033 0.8907 0.3181
P 0.8143 0.3910 0.1023
P 0.8907 0.3181 0.6033
O 0.0638 0.8474 0.2267
O 0.0742 0.2894 0.4298
O 0.1327 0.7753 0.9144
O 0.1425 0.9784 0.3569
O 0.2267 0.0638 0.8474
O 0.2768 0.6314 0.4141
O 0.2894 0.4298 0.0742
O 0.3500 0.5646 0.7252
O 0.3569 0.1425 0.9784
O 0.4141 0.2768 0.6314
O 0.4298 0.0742 0.2894
O 0.4807 0.6371 0.8636
O 0.5646 0.7252 0.3500
O 0.5754 0.9300 0.7926
O 0.6314 0.4141 0.2768
O 0.6371 0.8636 0.4807
O 0.7252 0.3500 0.5646
O 0.7753 0.9144 0.1327
O 0.7926 0.5754 0.9300
O 0.8474 0.2267 0.0638
O 0.8636 0.4807 0.6371
O 0.9144 0.1327 0.7753
O 0.9300 0.7926 0.5754
O 0.9784 0.3569 0.1425

Main lines, sorted by position (10° ≤ 2θ ≤ 80°):
2θ 20.57, I = 95; 2θ 23.77, I = 70; 2θ 25.10, I = 30; 2θ 31.58, I = 100; 2θ 36.03, I = 34; 2θ 45.47, I = 29; 2θ 48.66, I = 34; 2θ 56.39, I = 24

***

Diffraction record for Ti3Cr2SnP6O24. The X-ray powder pattern is theoretical, not measured: it uses DFT lattice parameters and positions (GGA+U) and Cu Kα (weighted mean of Kα1 and Kα2).

Crystal structure
Cell: 8.7958 8.7958 8.7958 Å, 59.10 59.10 59.10°
Positions (direct):
Ti 0.0000 0.0000 0.0000
Ti 0.2109 0.2109 0.2109
Ti 0.4995 0.4995 0.4995
Cr 0.3549 0.3549 0.3549
Cr 0.8580 0.8580 0.8580
Sn 0.7113 0.7113 0.7113
P 0.1083 0.8146 0.3942
P 0.3108 0.6042 0.8989
P 0.3942 0.1083 0.8146
P 0.6042 0.8989 0.3108
P 0.8146 0.3942 0.1083
P 0.8989 0.3108 0.6042
O 0.0518 0.8528 0.2356
O 0.0878 0.2923 0.4375
O 0.1224 0.7718 0.9155
O 0.1605 0.9760 0.3558
O 0.2356 0.0518 0.8528
O 0.2736 0.6243 0.4139
O 0.2923 0.4375 0.0878
O 0.3552 0.5532 0.7335
O 0.3558 0.1605 0.9760
O 0.4139 0.2736 0.6243
O 0.4375 0.0878 0.2923
O 0.4685 0.6562 0.8706
O 0.5532 0.7335 0.3552
O 0.5872 0.9420 0.7996
O 0.6243 0.4139 0.2736
O 0.6562 0.8706 0.4685
O 0.7335 0.3552 0.5532
O 0.7718 0.9155 0.1224
O 0.7996 0.5872 0.9420
O 0.8528 0.2356 0.0518
O 0.8706 0.4685 0.6562
O 0.9155 0.1224 0.7718
O 0.9420 0.7996 0.5872
O 0.9760 0.3558 0.1605

Main lines, sorted by position (10° ≤ 2θ ≤ 80°):
2θ 20.20, I = 21; 2θ 20.47, I = 90; 2θ 23.92, I = 100; 2θ 32.23, I = 78; 2θ 35.85, I = 38; 2θ 46.30, I = 30; 2θ 48.97, I = 28; 2θ 56.09, I = 25